Structure and computed powder X-ray diffraction pattern of Zr2Ga3 (a cell relaxed with GGA-PBE; Cu Kα, 1.54184 Å).
Intensities are scaled so that the largest is 100.

Structural model:
```
Zr2Ga3
1.0
0.000 6.920 2.772
4.765 0.000 2.772
4.765 6.920 0.000
Zr Ga
4 6
Cartesian
5.425 4.184 2.772
6.487 7.644 4.158
4.105 9.656 2.772
3.042 6.196 4.158
4.104 1.599 2.714
1.721 1.861 1.328
3.043 5.059 1.328
4.765 6.920 2.034
7.147 10.380 3.420
5.426 12.241 2.714
```

Main lines, in order of rising 2θ (2θ = 10–90°):
2theta	I_rel
31.97	12
33.14	16
34.86	18
37.53	100
38.03	43
39.81	40
40.03	33
46.50	9
49.90	11
76.70	9